For NdPu, a cell relaxed with PBE gives the simulated XRD peak list in this record (λ = 1.5418 Å (Cu Kα)).
Kinematic intensities with the Lorentz-polarization factor, no thermal factor.

```
data_NdPu
_space_group_name_H-M_alt 'P -6 m 2'
_space_group_IT_number 187
_space_group_name_Hall 'P -6 2'
_cell_length_a 3.5307
_cell_length_b 3.5307
_cell_length_c 5.8370
_cell_angle_alpha 90.00
_cell_angle_beta 90.00
_cell_angle_gamma 120.00
loop_
_atom_site_label
_atom_site_type_symbol
_atom_site_fract_x
_atom_site_fract_y
_atom_site_fract_z
Nd1 Nd 0.0000 0.0000 0.0000
Pu1 Pu 0.6667 0.3333 0.5000
```

Main lines, sorted by position (2θ = 10–90°):
- 2θ = 29.21°, rel. 26, hkl 1 0 0
- 2θ = 30.63°, rel. 27, hkl 0 0 2
- 2θ = 33.07°, rel. 100, hkl 1 0 1
- 2θ = 42.83°, rel. 19, hkl 1 0 2
- 2θ = 51.79°, rel. 19, hkl 1 1 0
- 2θ = 56.02°, rel. 23, hkl 1 0 3
- 2θ = 61.38°, rel. 23, hkl 1 1 2
- 2θ = 62.83°, rel. 16, hkl 2 0 1
- 2θ = 85.69°, rel. 14, hkl 2 1 1
- 2θ = 86.54°, rel. 9, hkl 1 1 4